Entry 1:
Diffraction record for Cs3I3N2. The X-ray diffraction stick pattern is computed, not measured: it uses a crystal structure in Alexandria, relaxed with GGA-PBE and Cu Kα (weighted mean of Kα1 and Kα2).
Intensities are scaled so that the largest is 100.

Atomic structure:
a = 5.813 Å, b = 12.044 Å, c = 23.812 Å
α = 90.00°, β = 96.92°, γ = 90.00°
Space group C2/c (No. 15)
Asymmetric unit:
Cs: 0.000 0.142 0.250 (multiplicity 4)
Cs: 0.169 0.111 0.605 (multiplicity 8)
I: 0.000 0.165 0.750 (multiplicity 4)
I: 0.158 0.410 0.556 (multiplicity 8)
N: 0.097 0.129 0.379 (multiplicity 8)

Most intense lines, 2θ = 5–70°, in order of rising 2θ:
d (Å), 2theta, I_rel, h k l
4.970, 17.8, 100, 1 1 1
3.940, 22.6, 78, 0 0 6
3.712, 24.0, 61, 0 2 5
3.320, 26.9, 59, 1 1 -6
3.296, 27.1, 59, 1 3 -1
2.727, 32.8, 89, 2 0 2

=====

Entry 2:
Diffraction record for Pr3Ho6In. The X-ray diffraction stick pattern is computed, not measured: it uses a crystal structure in Alexandria, relaxed with GGA-PBE and Cu Kα (weighted mean of Kα1 and Kα2).
Intensities are scaled so that the largest is 100.

Atomic structure:
a = 13.029 Å, b = 3.570 Å, c = 14.547 Å
α = 90.00°, β = 108.93°, γ = 90.00°
Space group P2_1/m (No. 11)
Asymmetric unit:
Pr: 0.010 0.250 0.395 (multiplicity 2)
Pr: 0.378 0.250 0.002 (multiplicity 2)
Pr: 0.466 0.250 0.592 (multiplicity 2)
Ho: 0.135 0.750 0.023 (multiplicity 2)
Ho: 0.143 0.250 0.812 (multiplicity 2)
Ho: 0.217 0.250 0.600 (multiplicity 2)
Ho: 0.249 0.750 0.390 (multiplicity 2)
Ho: 0.330 0.250 0.218 (multiplicity 2)
Ho: 0.382 0.750 0.790 (multiplicity 2)
In: 0.076 0.250 0.192 (multiplicity 2)

Most intense lines, 2θ = 5–70°, in order of rising 2θ:
d (Å), 2theta, I_rel, h k l
2.818, 31.8, 79, 4 0 1
2.785, 32.1, 100, 4 0 -4
2.754, 32.5, 89, 0 0 5
2.661, 33.7, 33, 2 1 2
1.785, 51.2, 20, 0 2 0
1.497, 62.0, 20, 0 2 5

=====

Entry 3:
Diffraction record for Ce4Cu3Sb8. The X-ray diffraction stick pattern is computed, not measured: it uses a crystal structure in Alexandria, relaxed with GGA-PBE and Cu Kα (weighted mean of Kα1 and Kα2).
Intensities are scaled so that the largest is 100.

Atomic structure:
a = 4.394 Å, b = 4.394 Å, c = 19.318 Å
α = 90.00°, β = 90.00°, γ = 90.00°
Space group P-4m2 (No. 115)
Asymmetric unit:
Ce: 0.000 0.500 0.115 (multiplicity 2)
Ce: 0.000 0.500 0.626 (multiplicity 2)
Cu: 0.000 0.000 0.000 (multiplicity 1)
Cu: 0.000 0.000 0.500 (multiplicity 1)
Cu: 0.500 0.500 0.500 (multiplicity 1)
Sb: 0.000 0.000 0.245 (multiplicity 2)
Sb: 0.000 0.500 0.419 (multiplicity 2)
Sb: 0.000 0.500 0.927 (multiplicity 2)
Sb: 0.500 0.500 0.245 (multiplicity 2)

Most intense lines, 2θ = 5–70°, in order of rising 2θ:
d (Å), 2theta, I_rel, h k l
2.958, 30.2, 24, 1 1 2
2.613, 34.3, 100, 1 1 4
2.597, 34.5, 22, 1 0 6
2.197, 41.1, 46, 2 0 0
1.768, 51.7, 15, 1 0 10
1.553, 59.5, 15, 2 2 0

=====

Entry 4:
Diffraction record for LiDyMgBr6. The X-ray diffraction stick pattern is computed, not measured: it uses a crystal structure in Alexandria, relaxed with GGA-PBE and Cu Kα (weighted mean of Kα1 and Kα2).
Intensities are scaled so that the largest is 100.

Atomic structure:
a = 6.9352 Å, b = 6.9352 Å, c = 12.7375 Å
α = 90.00°, β = 90.00°, γ = 120.00°
Space group P-31c (No. 163)
Asymmetric unit:
Li: 0.0000 0.0000 0.0000 (multiplicity 2)
Dy: 0.3333 0.6667 0.2500 (multiplicity 2)
Mg: 0.3333 0.6667 0.7500 (multiplicity 2)
Br: 0.0116 0.3499 0.6276 (multiplicity 12)

Most intense lines, 2θ = 5–70°, in order of rising 2θ:
d (Å), 2theta, I_rel, h k l
6.369, 13.9, 18, 0 0 2
5.432, 16.3, 20, 1 0 1
3.045, 29.3, 100, 1 1 2
2.345, 38.4, 47, 1 1 4
2.002, 45.3, 37, 3 0 0
1.811, 50.4, 23, 2 -1 6

=====

Entry 5:
Diffraction record for NaPb3O3. The X-ray diffraction stick pattern is computed, not measured: it uses a crystal structure in Alexandria, relaxed with GGA-PBE and Cu Kα (weighted mean of Kα1 and Kα2).
Intensities are scaled so that the largest is 100.

Atomic structure:
a = 7.9246 Å, b = 7.9246 Å, c = 5.4209 Å
α = 90.00°, β = 90.00°, γ = 120.00°
Space group P6_3/mmc (No. 194)
Asymmetric unit:
Na: 0.3333 0.6667 0.2500 (multiplicity 2)
Pb: 0.1766 0.3531 0.7500 (multiplicity 6)
O: 0.1543 0.3086 0.2500 (multiplicity 6)

Most intense lines, 2θ = 5–70°, in order of rising 2θ:
d (Å), 2theta, I_rel, h k l
4.254, 20.9, 29, 1 0 1
3.431, 26.0, 36, 2 0 0
2.899, 30.8, 100, 2 0 1
2.710, 33.0, 26, 0 0 2
1.981, 45.8, 29, 2 2 0
1.599, 57.6, 48, 2 2 2

=====

Entry 6:
Diffraction record for Fe2Tc3. The X-ray diffraction stick pattern is computed, not measured: it uses a crystal structure in Alexandria, relaxed with GGA-PBE and Cu Kα (weighted mean of Kα1 and Kα2).
Intensities are scaled so that the largest is 100.

Atomic structure:
a = 9.053 Å, b = 12.635 Å, c = 4.631 Å
α = 90.00°, β = 90.00°, γ = 90.00°
Space group Fdd2 (No. 43)
Asymmetric unit:
Fe: 0.027 0.298 0.000 (multiplicity 16)
Tc: 0.000 0.000 0.452 (multiplicity 8)
Tc: 0.052 0.397 0.468 (multiplicity 16)

Most intense lines, 2θ = 5–70°, in order of rising 2θ:
d (Å), 2theta, I_rel, h k l
2.263, 39.8, 22, 4 0 0
2.168, 41.7, 32, 3 3 1
2.154, 41.9, 100, 1 5 1
2.131, 42.4, 31, 4 2 0
2.061, 43.9, 70, 2 0 2
1.787, 51.1, 33, 3 5 1

=====

Entry 7:
Diffraction record for SrTl4O6. The X-ray diffraction stick pattern is computed, not measured: it uses a crystal structure in Alexandria, relaxed with GGA-PBE and Cu Kα (weighted mean of Kα1 and Kα2).
Intensities are scaled so that the largest is 100.

Atomic structure:
a = 3.589 Å, b = 11.860 Å, c = 17.061 Å
α = 90.00°, β = 90.00°, γ = 90.00°
Space group Cmcm (No. 63)
Asymmetric unit:
Sr: 0.000 0.177 0.250 (multiplicity 4)
Tl: 0.000 0.078 0.636 (multiplicity 8)
Tl: 0.000 0.356 0.545 (multiplicity 8)
O: 0.000 0.000 0.000 (multiplicity 4)
O: 0.000 0.176 0.750 (multiplicity 4)
O: 0.000 0.277 0.072 (multiplicity 8)
O: 0.000 0.428 0.660 (multiplicity 8)

Most intense lines, 2θ = 5–70°, in order of rising 2θ:
d (Å), 2theta, I_rel, h k l
2.959, 30.2, 100, 0 2 5
2.940, 30.4, 43, 1 1 3
2.626, 34.1, 44, 1 3 1
2.537, 35.4, 40, 1 3 2
1.794, 50.9, 46, 2 0 0
1.535, 60.3, 42, 2 2 5

=====

Entry 8:
Diffraction record for CoTeSe2. The X-ray diffraction stick pattern is computed, not measured: it uses a crystal structure in Alexandria, relaxed with GGA-PBE and Cu Kα (weighted mean of Kα1 and Kα2).
Intensities are scaled so that the largest is 100.

Atomic structure:
a = 3.678 Å, b = 4.999 Å, c = 9.006 Å
α = 90.00°, β = 90.00°, γ = 90.00°
Space group Amm2 (No. 38)
Asymmetric unit:
Co: 0.000 0.000 0.000 (multiplicity 2)
Te: 0.500 0.000 0.806 (multiplicity 2)
Se: 0.000 0.000 0.522 (multiplicity 2)
Se: 0.500 0.000 0.167 (multiplicity 2)

Most intense lines, 2θ = 5–70°, in order of rising 2θ:
d (Å), 2theta, I_rel, h k l
4.371, 20.3, 30, 0 1 1
2.849, 31.4, 100, 1 0 2
2.574, 34.9, 39, 0 1 3
2.500, 35.9, 54, 0 2 0
2.109, 42.9, 44, 1 1 3
1.879, 48.4, 58, 1 2 2

=====

What did the eighth record say?
Diffraction record for CoTeSe2. The X-ray diffraction stick pattern is computed, not measured: it uses a crystal structure in Alexandria, relaxed with GGA-PBE and Cu Kα (weighted mean of Kα1 and Kα2).
Intensities are scaled so that the largest is 100.

Atomic structure:
a = 3.678 Å, b = 4.999 Å, c = 9.006 Å
α = 90.00°, β = 90.00°, γ = 90.00°
Space group Amm2 (No. 38)
Asymmetric unit:
Co: 0.000 0.000 0.000 (multiplicity 2)
Te: 0.500 0.000 0.806 (multiplicity 2)
Se: 0.000 0.000 0.522 (multiplicity 2)
Se: 0.500 0.000 0.167 (multiplicity 2)

Most intense lines, 2θ = 5–70°, in order of rising 2θ:
d (Å), 2theta, I_rel, h k l
4.371, 20.3, 30, 0 1 1
2.849, 31.4, 100, 1 0 2
2.574, 34.9, 39, 0 1 3
2.500, 35.9, 54, 0 2 0
2.109, 42.9, 44, 1 1 3
1.879, 48.4, 58, 1 2 2